1.
Computed X-ray diffraction stick pattern
Compound: MgP4Br12O4
Radiation: Cu Kα, 1.54184 Å
Structure: a structure optimized by DFT (PBE)
Lines closer than 0.1° are merged.

Main lines, sorted by position (2θ from 5° to 70°):
2θ/deg, I/Imax
14.9, 37
15.9, 29
19.4, 71
20.2, 78
21.7, 59
23.2, 46
27.1, 100
29.2, 33
29.9, 50
48.9, 24

Cell and atoms:
Lattice parameters (Å, degrees): 7.107 10.138 11.175 89.95 89.86 81.68
Sites, in units of the cell vectors:
Mg1 0.000 0.000 0.000
P1 0.136 0.314 0.999
P2 0.425 0.793 0.000
P3 0.594 0.193 0.501
P4 0.886 0.693 0.500
Br1 0.119 0.524 0.499
Br2 0.167 0.851 0.835
Br3 0.168 0.853 0.165
Br4 0.295 0.360 0.156
Br5 0.295 0.360 0.842
Br6 0.413 0.035 0.500
Br7 0.658 0.056 0.001
Br8 0.707 0.658 0.345
Br9 0.709 0.657 0.656
Br10 0.780 0.153 0.344
Br11 0.781 0.149 0.657
Br12 0.872 0.454 0.000
O1 0.102 0.172 0.999
O2 0.485 0.329 0.502
O3 0.485 0.647 0.001
O4 0.950 0.825 0.500

---

2.
Computed X-ray diffraction stick pattern
Compound: Ho2Si4CN6
Radiation: Cu Kα, 1.54184 Å
Structure: a structure optimized by DFT (PBE)
Lines closer than 0.1° are merged.

Main lines, sorted by position (2θ from 5° to 70°):
2θ/deg, I/Imax
17.2, 19
19.3, 29
29.9, 21
30.1, 42
32.0, 100
35.0, 17
35.1, 28
35.9, 14
44.4, 16
54.4, 14

Cell and atoms:
Lattice parameters (Å, degrees): 5.938 9.985 11.914 90.00 119.63 90.00
Sites, in units of the cell vectors:
Ho1 0.154 0.088 0.417
Ho2 0.154 0.412 0.917
Ho3 0.172 0.069 0.906
Ho4 0.172 0.431 0.406
Ho5 0.828 0.569 0.594
Ho6 0.828 0.931 0.094
Ho7 0.846 0.588 0.083
Ho8 0.846 0.912 0.583
Si1 0.178 0.226 0.659
Si2 0.178 0.274 0.159
Si3 0.299 0.705 0.824
Si4 0.299 0.795 0.324
Si5 0.336 0.712 0.579
Si6 0.336 0.788 0.079
Si7 0.496 0.521 0.250
Si8 0.496 0.979 0.750
Si9 0.504 0.021 0.250
Si10 0.504 0.479 0.750
Si11 0.664 0.212 0.921
Si12 0.664 0.288 0.421
Si13 0.701 0.205 0.676
Si14 0.701 0.295 0.176
Si15 0.822 0.726 0.841
Si16 0.822 0.774 0.341
C1 0.476 0.709 0.247
C2 0.476 0.791 0.747
C3 0.524 0.209 0.253
C4 0.524 0.291 0.753
N1 0.005 0.211 0.001
N2 0.005 0.289 0.501
N3 0.020 0.238 0.246
N4 0.020 0.262 0.746
N5 0.202 0.053 0.636
N6 0.202 0.447 0.136
N7 0.255 0.535 0.777
N8 0.255 0.965 0.277
N9 0.440 0.544 0.601
N10 0.440 0.956 0.101
N11 0.464 0.714 0.991
N12 0.464 0.786 0.491
N13 0.536 0.214 0.509
N14 0.536 0.286 0.009
N15 0.560 0.044 0.899
N16 0.560 0.456 0.399
N17 0.745 0.035 0.723
N18 0.745 0.465 0.223
N19 0.798 0.553 0.864
N20 0.798 0.947 0.364
N21 0.980 0.738 0.254
N22 0.980 0.762 0.754
N23 0.995 0.711 0.499
N24 0.995 0.789 0.999

---

3.
Computed X-ray diffraction stick pattern
Compound: NbSbRh
Radiation: Cu Kα, 1.54184 Å
Structure: a structure optimized by DFT (PBE)
Lines closer than 0.1° are merged.

Main lines, sorted by position (2θ from 5° to 70°):
2θ/deg, I/Imax
24.7, 29
28.6, 16
40.9, 100
48.4, 14
50.7, 4
59.3, 16
65.2, 6
67.1, 5

Cell and atoms:
Lattice parameters (Å, degrees): 4.409 4.409 4.409 60.00 60.00 60.00
Sites, in units of the cell vectors:
Nb1 0.000 0.000 0.000
Sb1 0.500 0.500 0.500
Rh1 0.250 0.250 0.250

---

4.
Computed X-ray diffraction stick pattern
Compound: Nd3Pt2
Radiation: Cu Kα, 1.54184 Å
Structure: a structure optimized by DFT (PBE)
Lines closer than 0.1° are merged.

Main lines, sorted by position (2θ from 5° to 70°):
2θ/deg, I/Imax
12.5, 27
30.7, 42
31.5, 41
32.1, 100
34.4, 68
37.0, 69
37.4, 73
42.0, 21
43.1, 21
49.9, 19

Cell and atoms:
Lattice parameters (Å, degrees): 7.704 7.704 7.704 71.76 71.76 71.76
Sites, in units of the cell vectors:
Nd1 0.000 0.000 0.000
Nd2 0.164 0.665 0.394
Nd3 0.201 0.201 0.201
Nd4 0.335 0.606 0.836
Nd5 0.394 0.164 0.665
Nd6 0.606 0.836 0.335
Nd7 0.665 0.394 0.164
Nd8 0.799 0.799 0.799
Nd9 0.836 0.335 0.606
Pt1 0.042 0.410 0.838
Pt2 0.162 0.958 0.590
Pt3 0.410 0.838 0.042
Pt4 0.590 0.162 0.958
Pt5 0.838 0.042 0.410
Pt6 0.958 0.590 0.162

---

5.
Computed X-ray diffraction stick pattern
Compound: HoMgCd2
Radiation: Cu Kα, 1.54184 Å
Structure: a structure optimized by DFT (PBE)
Lines closer than 0.1° are merged.

Main lines, sorted by position (2θ from 5° to 70°):
2θ/deg, I/Imax
21.4, 25
24.8, 1
35.3, 100
41.7, 14
50.8, 17
55.8, 6
63.4, 35
67.8, 4

Cell and atoms:
Lattice parameters (Å, degrees): 5.082 5.082 5.082 60.00 60.00 60.00
Sites, in units of the cell vectors:
Ho1 0.000 0.000 0.000
Mg1 0.500 0.500 0.500
Cd1 0.250 0.250 0.250
Cd2 0.750 0.750 0.750

---

6.
Computed X-ray diffraction stick pattern
Compound: InN
Radiation: Cu Kα, 1.54184 Å
Structure: a structure optimized by DFT (PBE)
Lines closer than 0.1° are merged.

Main lines, sorted by position (2θ from 5° to 70°):
2θ/deg, I/Imax
32.9, 100
38.2, 79
55.2, 51
65.8, 41
69.1, 17

Cell and atoms:
Lattice parameters (Å, degrees): 3.330 3.330 3.330 60.00 60.00 60.00
Sites, in units of the cell vectors:
In1 0.000 0.000 0.000
N1 0.500 0.500 0.500

---

7.
Computed X-ray diffraction stick pattern
Compound: NpB4H16
Radiation: Cu Kα, 1.54184 Å
Structure: a structure optimized by DFT (PBE)
Lines closer than 0.1° are merged.

Main lines, sorted by position (2θ from 5° to 70°):
2θ/deg, I/Imax
14.3, 78
17.4, 100
20.3, 34
26.9, 66
31.9, 20
32.4, 20
33.9, 19
39.8, 23
43.6, 20
45.1, 18

Cell and atoms:
Lattice parameters (Å, degrees): 8.744 8.744 6.284 90.00 90.00 90.00
Sites, in units of the cell vectors:
Np1 0.250 0.750 0.250
Np2 0.750 0.250 0.750
B1 0.021 0.750 0.023
B2 0.250 0.521 0.477
B3 0.250 0.979 0.477
B4 0.479 0.750 0.023
B5 0.521 0.250 0.977
B6 0.750 0.021 0.523
B7 0.750 0.479 0.523
B8 0.979 0.250 0.977
H1 0.008 0.250 0.780
H2 0.090 0.250 0.089
H3 0.107 0.636 0.998
H4 0.107 0.864 0.998
H5 0.136 0.607 0.502
H6 0.136 0.893 0.502
H7 0.250 0.008 0.280
H8 0.250 0.090 0.589
H9 0.250 0.410 0.589
H10 0.250 0.492 0.280
H11 0.364 0.607 0.502
H12 0.364 0.893 0.502
H13 0.393 0.636 0.998
H14 0.393 0.864 0.998
H15 0.410 0.250 0.089
H16 0.492 0.250 0.780
H17 0.508 0.750 0.220
H18 0.590 0.750 0.911
H19 0.607 0.136 0.002
H20 0.607 0.364 0.002
H21 0.636 0.107 0.498
H22 0.636 0.393 0.498
H23 0.750 0.508 0.720
H24 0.750 0.590 0.411
H25 0.750 0.910 0.411
H26 0.750 0.992 0.720
H27 0.864 0.107 0.498
H28 0.864 0.393 0.498
H29 0.893 0.136 0.002
H30 0.893 0.364 0.002
H31 0.910 0.750 0.911
H32 0.992 0.750 0.220